This entry pairs a crystal structure of Na5B9C with its computed powder diffractogram. Radiation: a wavelength of 1.5418 Å. Structure: a cell relaxed with GGA-PBE.
Intensities are scaled so that the largest is 100.

The 10 most intense peaks (2θ from 15° to 90°), in order of falling intensity:
hkl  2θ (°)  Rel. int.
1 2 1  40.56  100.0
2 -1 2  40.98  50.6
0 0 4  41.59  36.2
1 2 -1  34.64  21.1
3 1 -1  62.70  17.4
3 1 3  78.07  16.9
1 2 5  75.19  12.4
2 4 0  76.82  11.9
1 2 3  55.20  11.3
2 -1 0  35.12  9.2

Structural model:
```
data_Na5B9C
_cell_length_a 5.111
_cell_length_b 7.932
_cell_length_c 9.190
_cell_angle_alpha 108.01
_cell_angle_beta 90.01
_cell_angle_gamma 108.78
_space_group_name_H-M_alt 'P -1'
_space_group_IT_number 2
loop_
_space_group_symop_operation_xyz
'x,y,z'
'-x,-y,-z'
loop_
_atom_site_label
_atom_site_type_symbol
_atom_site_fract_x
_atom_site_fract_y
_atom_site_fract_z
Na1 Na 0.000 0.000 0.000
Na2 Na 0.097 0.200 0.499
Na3 Na 0.200 0.400 0.000
Na4 Na 0.303 0.601 0.501
Na5 Na 0.403 0.800 0.999
Na6 Na 0.500 0.000 0.500
B1 B 0.032 0.701 0.750
B2 B 0.060 0.482 0.750
B3 B 0.122 0.882 0.250
B4 B 0.211 0.097 0.749
B5 B 0.288 0.906 0.749
B6 B 0.318 0.306 0.250
B7 B 0.369 0.101 0.250
B8 B 0.414 0.503 0.751
B9 B 0.489 0.300 0.750
C1 C 0.192 0.700 0.249
```

This entry pairs a crystal structure of Na8B15C with its computed powder diffractogram. Radiation: a wavelength of 1.5418 Å. Structure: a cell relaxed with GGA-PBE.
Intensities are scaled so that the largest is 100.

The 10 most intense peaks (2θ from 15° to 90°), in order of falling intensity:
hkl  2θ (°)  Rel. int.
2 4 2  40.51  100.0
0 4 4  40.33  49.5
0 8 0  42.10  33.6
2 0 2  34.43  20.0
2 0 6  61.42  18.3
0 4 8  75.89  18.2
2 8 6  77.26  17.2
4 4 4  76.42  11.4
0 0 4  34.23  10.7
2 8 2  55.47  10.5

Structural model:
```
data_Na8B15C
_cell_length_a 6.004
_cell_length_b 17.172
_cell_length_c 10.479
_cell_angle_alpha 90.00
_cell_angle_beta 90.00
_cell_angle_gamma 90.00
_space_group_name_H-M_alt 'F m m 2'
_space_group_IT_number 42
_space_group_name_Hall 'F 2 -2'
loop_
_atom_site_label
_atom_site_type_symbol
_atom_site_fract_x
_atom_site_fract_y
_atom_site_fract_z
Na1 Na 0.000 0.125 0.000
Na2 Na 0.000 0.125 0.500
Na3 Na 0.250 0.125 0.250
B1 B 0.000 0.000 0.164
B2 B 0.000 0.000 0.333
B3 B 0.000 0.000 0.822
B4 B 0.000 0.249 0.832
B5 B 0.000 0.250 0.168
B6 B 0.234 0.000 0.589
B7 B 0.246 0.000 0.918
B8 B 0.250 0.250 0.082
B9 B 0.250 0.250 0.418
C1 C 0.000 0.000 0.667
```

This entry pairs a crystal structure of Na5B8C2 with its computed powder diffractogram. Radiation: a wavelength of 1.5418 Å. Structure: a cell relaxed with GGA-PBE.
Intensities are scaled so that the largest is 100.

The 10 most intense peaks (2θ from 15° to 90°), in order of falling intensity:
hkl  2θ (°)  Rel. int.
1 0 10  41.24  100.0
0 0 20  42.11  23.3
1 0 0  35.26  19.3
1 1 0  63.28  18.0
1 1 20  78.96  16.6
2 0 10  78.37  11.4
1 0 30  76.36  11.3
1 0 20  56.05  10.0
2 0 0  74.57  1.9
2 0 20  89.54  1.8

Structural model:
```
data_Na5B8C2
_cell_length_a 2.9391
_cell_length_b 2.9391
_cell_length_c 42.9198
_cell_angle_alpha 90.00
_cell_angle_beta 90.00
_cell_angle_gamma 120.00
_space_group_name_H-M_alt 'P -6 m 2'
_space_group_IT_number 187
_space_group_name_Hall 'P -6 2'
loop_
_atom_site_label
_atom_site_type_symbol
_atom_site_fract_x
_atom_site_fract_y
_atom_site_fract_z
Na1 Na 0.0000 0.0000 0.0488
Na2 Na 0.0000 0.0000 0.1469
Na3 Na 0.0000 0.0000 0.2480
Na4 Na 0.0000 0.0000 0.3497
Na5 Na 0.0000 0.0000 0.4508
B1 B 0.3333 0.6667 0.0977
B2 B 0.3333 0.6667 0.1975
B3 B 0.3333 0.6667 0.2989
B4 B 0.3333 0.6667 0.4003
B5 B 0.3333 0.6667 0.5000
B6 B 0.6667 0.3333 0.0000
B7 B 0.6667 0.3333 0.1975
B8 B 0.6667 0.3333 0.2989
B9 B 0.6667 0.3333 0.4003
C1 C 0.3333 0.6667 0.0000
C2 C 0.6667 0.3333 0.0977
C3 C 0.6667 0.3333 0.5000
```

This entry pairs a crystal structure of Na5B8C2 with its computed powder diffractogram. Radiation: a wavelength of 1.5418 Å. Structure: a cell relaxed with GGA-PBE.
Intensities are scaled so that the largest is 100.

The 10 most intense peaks (2θ from 15° to 90°), in order of falling intensity:
hkl  2θ (°)  Rel. int.
5 1 0  41.04  100.0
0 2 2  41.53  53.1
0 0 4  41.76  38.2
5 1 -2  35.13  21.5
5 3 -2  63.77  17.1
10 0 0  78.06  10.5
10 0 -4  62.67  9.1
5 3 2  79.12  8.5
5 3 -6  79.22  8.4
0 2 0  35.70  8.3

Structural model:
```
data_Na5B8C2
_cell_length_a 14.825
_cell_length_b 5.030
_cell_length_c 10.478
_cell_angle_alpha 90.00
_cell_angle_beta 124.33
_cell_angle_gamma 90.00
_space_group_name_H-M_alt 'C 1 2 1'
_space_group_IT_number 5
loop_
_space_group_symop_operation_xyz
'x,y,z'
'-x,y,-z'
'x+1/2,y+1/2,z'
'-x+1/2,y+1/2,-z'
loop_
_atom_site_label
_atom_site_type_symbol
_atom_site_fract_x
_atom_site_fract_y
_atom_site_fract_z
Na1 Na 0.001 0.000 0.252
Na2 Na 0.100 0.501 0.251
Na3 Na 0.101 0.496 0.750
Na4 Na 0.199 0.996 0.749
Na5 Na 0.200 0.000 0.250
B1 B 0.000 0.167 0.000
B2 B 0.000 0.836 0.500
B3 B 0.090 0.682 0.999
B4 B 0.094 0.335 0.500
B5 B 0.102 0.338 0.999
B6 B 0.192 0.803 0.500
B7 B 0.196 0.157 0.999
B8 B 0.201 0.813 0.999
B9 B 0.202 0.180 0.500
C1 C 0.000 0.173 0.500
C2 C 0.000 0.844 0.000
C3 C 0.095 0.672 0.499
```

This entry pairs a crystal structure of Na5B8C2 with its computed powder diffractogram. Radiation: a wavelength of 1.5418 Å. Structure: a cell relaxed with GGA-PBE.
Intensities are scaled so that the largest is 100.

The 10 most intense peaks (2θ from 15° to 90°), in order of falling intensity:
hkl  2θ (°)  Rel. int.
1 3 3  41.20  100.0
0 0 4  41.87  24.6
2 1 1  35.29  19.3
3 4 2  63.29  11.6
3 4 6  78.80  11.3
2 1 5  55.88  10.5
1 3 -5  76.01  10.4
2 6 4  78.46  7.4
0 5 1  63.44  5.8
4 2 4  78.28  3.9

Structural model:
```
data_Na5B8C2
_cell_length_a 5.094
_cell_length_b 7.761
_cell_length_c 9.118
_cell_angle_alpha 75.85
_cell_angle_beta 73.80
_cell_angle_gamma 70.85
_space_group_name_H-M_alt 'P 1'
_space_group_IT_number 1
loop_
_space_group_symop_operation_xyz
'x,y,z'
loop_
_atom_site_label
_atom_site_type_symbol
_atom_site_fract_x
_atom_site_fract_y
_atom_site_fract_z
Na1 Na 0.000 0.000 0.000
Na2 Na 0.000 0.500 0.494
Na3 Na 0.199 0.599 0.002
Na4 Na 0.203 0.099 0.496
Na5 Na 0.398 0.200 0.999
Na6 Na 0.403 0.701 0.495
Na7 Na 0.599 0.301 0.497
Na8 Na 0.602 0.799 0.000
Na9 Na 0.799 0.399 0.998
Na10 Na 0.802 0.901 0.495
B1 B 0.022 0.348 0.248
B2 B 0.162 0.752 0.248
B3 B 0.165 0.242 0.748
B4 B 0.220 0.447 0.748
B5 B 0.240 0.959 0.248
B6 B 0.362 0.850 0.748
B7 B 0.365 0.348 0.248
B8 B 0.441 0.053 0.748
B9 B 0.455 0.549 0.247
B10 B 0.557 0.459 0.747
B11 B 0.645 0.647 0.747
B12 B 0.649 0.140 0.248
B13 B 0.791 0.032 0.748
B14 B 0.818 0.254 0.747
B15 B 0.821 0.751 0.247
B16 B 0.973 0.668 0.748
C1 C 0.046 0.850 0.748
C2 C 0.566 0.950 0.248
C3 C 0.763 0.550 0.247
C4 C 0.966 0.150 0.248
```

This entry pairs a crystal structure of Na4B7C with its computed powder diffractogram. Radiation: a wavelength of 1.5418 Å. Structure: a cell relaxed with GGA-PBE.
Intensities are scaled so that the largest is 100.

The 10 most intense peaks (2θ from 15° to 90°), in order of falling intensity:
hkl  2θ (°)  Rel. int.
2 0 2  40.84  100.0
0 0 4  41.72  24.1
2 0 0  34.92  19.9
2 2 0  62.63  17.6
2 2 4  78.11  17.0
2 0 6  75.57  12.5
4 0 2  77.51  11.4
2 0 4  55.51  10.8
2 2 2  66.65  2.0
4 0 4  88.51  2.0

Structural model:
```
data_Na4B7C
_cell_length_a 5.9331
_cell_length_b 5.9331
_cell_length_c 8.6595
_cell_angle_alpha 90.00
_cell_angle_beta 90.00
_cell_angle_gamma 120.00
_space_group_name_H-M_alt 'P 63/m m c'
_space_group_IT_number 194
_space_group_name_Hall '-P 6c 2c'
loop_
_atom_site_label
_atom_site_type_symbol
_atom_site_fract_x
_atom_site_fract_y
_atom_site_fract_z
Na1 Na 0.0000 0.0000 0.0000
Na2 Na 0.0000 0.5000 0.0000
B1 B 0.1622 0.3244 0.2500
B2 B 0.1776 0.3553 0.7500
B3 B 0.3333 0.6667 0.2500
C1 C 0.3333 0.6667 0.7500
```